Starting from DFT lattice parameters and positions (PBE+U), the PXRD pattern of Sr2CeCoO6 was calculated for λ = 1.5418 Å (Cu Kα).

The 8 most intense peaks (2θ = 10–80°), by intensity:
2θ (°), d [Å], Rel. int.
31.0, 2.885, 100.0
55.1, 1.666, 38.8
44.4, 2.040, 33.5
64.6, 1.443, 19.9
73.4, 1.290, 17.5
18.8, 4.712, 7.5
36.5, 2.461, 7.0
48.6, 1.872, 4.3

Structure:
abc: 5.771 5.771 5.771
angles: 60.00 60.00 60.00
Positions (direct):
Sr1 0.250 0.250 0.250
Sr2 0.750 0.750 0.750
Ce1 0.000 0.000 0.000
Co1 0.500 0.500 0.500
O1 0.268 0.268 0.732
O2 0.268 0.732 0.268
O3 0.268 0.732 0.732
O4 0.732 0.268 0.268
O5 0.732 0.268 0.732
O6 0.732 0.732 0.268